# CrBiO4
Calculated PXRD pattern, copper Kα. Input: the PBE+U geometry in the Materials Project.
No peak broadening, texture or thermal motion is included.

Principal peaks in the range 10° ≤ 2θ ≤ 80°, in order of rising 2θ:
d 4.935, intensity 53; d 3.728, intensity 100; d 2.917, intensity 12; d 2.816, intensity 38; d 2.767, intensity 41; d 2.558, intensity 13; d 2.326, intensity 14; d 2.104, intensity 12; d 1.941, intensity 24; d 1.893, intensity 30; d 1.864, intensity 12; d 1.505, intensity 13

Structural model:
Unit cell a=6.0770 b=10.8900 c=6.0886 alpha=90.00 beta=114.51 gamma=90.00
Space group P2/c (No. 13)
Inequivalent atoms, fractional coordinates:
Cr 0.0000 0.1226 0.2500 (multiplicity 2)
Cr 0.5000 0.3752 0.2500 (multiplicity 2)
Bi 0.0000 0.3956 0.7500 (multiplicity 2)
Bi 0.5000 0.1574 0.7500 (multiplicity 2)
O 0.0889 0.2104 0.5025 (multiplicity 4)
O 0.2244 0.4622 0.1561 (multiplicity 4)
O 0.2397 0.0387 0.2911 (multiplicity 4)
O 0.4140 0.2911 0.9706 (multiplicity 4)

# La3SmCr4O12
Calculated PXRD pattern, copper Kα. Input: the PBE+U geometry in the Materials Project.
No peak broadening, texture or thermal motion is included.

Principal peaks in the range 10° ≤ 2θ ≤ 80°, in order of rising 2θ:
d 3.934, intensity 29; d 2.795, intensity 23; d 2.781, intensity 100; d 2.772, intensity 24; d 2.277, intensity 11; d 2.265, intensity 13; d 1.968, intensity 26; d 1.965, intensity 15; d 1.611, intensity 14; d 1.602, intensity 33; d 1.390, intensity 14; d 1.243, intensity 12

Structural model:
Unit cell a=5.5443 b=7.8588 c=5.5891 alpha=90.00 beta=90.11 gamma=90.00
Space group Pm (No. 6)
Inequivalent atoms, fractional coordinates:
La 0.0000 0.0000 0.0000 (multiplicity 1)
La 0.0153 0.5000 0.0722 (multiplicity 1)
La 0.5152 0.0000 0.5026 (multiplicity 1)
Sm 0.4971 0.5000 0.5839 (multiplicity 1)
Cr 0.0078 0.2524 0.5354 (multiplicity 2)
Cr 0.5090 0.2517 0.0375 (multiplicity 2)
O 0.0877 0.0000 0.5524 (multiplicity 1)
O 0.2231 0.2966 0.8214 (multiplicity 2)
O 0.3023 0.2989 0.3296 (multiplicity 2)
O 0.4277 0.0000 0.0540 (multiplicity 1)
O 0.5887 0.5000 0.0076 (multiplicity 1)
O 0.7183 0.2095 0.7460 (multiplicity 2)
O 0.8003 0.2079 0.2445 (multiplicity 2)
O 0.9137 0.5000 0.5185 (multiplicity 1)